Structure and theoretical powder diffractogram of SrIn4Pt (a cell relaxed with PBE; Cu Ka).

Cell and atoms:
Cell: 4.6120 17.3146 7.6233 Å, 90.00 90.00 90.00°
Space group Cmcm (No. 63)
One atom of each set of equivalent atoms:
1 Sr 0.0000 0.1257 0.2500 (multiplicity 4)
2 In 0.0000 0.0674 0.7500 (multiplicity 4)
3 In 0.0000 0.3154 0.0496 (multiplicity 8)
4 In 0.0000 0.5000 0.0000 (multiplicity 4)
5 Pt 0.0000 0.2247 0.7500 (multiplicity 4)

Top 8 peaks for 10 to 80 degrees two-theta, most intense first:
30.9°, rel. 1000, hkl 1 1 2; 39.1°, rel. 855, hkl 2 0 0; 34.5°, rel. 532, hkl 1 5 1; 10.2°, rel. 439, hkl 0 2 0; 40.9°, rel. 364, hkl 1 1 3; 33.2°, rel. 338, hkl 0 6 1; 40.3°, rel. 283, hkl 1 5 2; 32.3°, rel. 277, hkl 1 5 0


Structure and theoretical powder diffractogram of Cs4InSbCl12 (a cell relaxed with PBE; Cu Ka).

Cell and atoms:
Cell: 7.6770 7.6770 10.6722 Å, 90.00 90.00 90.00°
Space group P4/mmm (No. 123)
One atom of each set of equivalent atoms:
1 Cs 0.0000 0.5000 0.2186 (multiplicity 4)
2 In 0.0000 0.0000 0.0000 (multiplicity 1)
3 Sb 0.5000 0.5000 0.5000 (multiplicity 1)
4 Cl 0.0000 0.0000 0.2394 (multiplicity 2)
5 Cl 0.2361 0.2361 0.0000 (multiplicity 4)
6 Cl 0.2778 0.2778 0.5000 (multiplicity 4)
7 Cl 0.5000 0.5000 0.2740 (multiplicity 2)

Top 8 peaks for 10 to 80 degrees two-theta, most intense first:
23.4°, rel. 1000, hkl 1 1 2; 33.0°, rel. 848, hkl 2 2 0; 14.2°, rel. 843, hkl 1 0 1; 28.6°, rel. 810, hkl 2 0 2; 23.2°, rel. 587, hkl 2 0 0; 40.8°, rel. 440, hkl 3 1 2; 47.8°, rel. 408, hkl 2 2 4; 33.6°, rel. 308, hkl 0 0 4


Structure and theoretical powder diffractogram of ZnPb3 (a cell relaxed with PBE; Cu Ka).

Cell and atoms:
Cell: 4.7441 4.7441 10.1210 Å, 90.00 90.00 90.00°
Space group I4/mmm (No. 139)
One atom of each set of equivalent atoms:
1 Zn 0.0000 0.0000 0.0000 (multiplicity 2)
2 Pb 0.0000 0.0000 0.5000 (multiplicity 2)
3 Pb 0.0000 0.5000 0.2500 (multiplicity 4)

Top 8 peaks for 10 to 80 degrees two-theta, most intense first:
32.0°, rel. 1000, hkl 1 1 2; 37.9°, rel. 320, hkl 2 0 0; 64.8°, rel. 272, hkl 3 1 2; 52.9°, rel. 248, hkl 2 0 4; 35.5°, rel. 191, hkl 0 0 4; 61.5°, rel. 159, hkl 1 1 6; 66.9°, rel. 124, hkl 2 2 4; 54.7°, rel. 112, hkl 2 2 0


Structure and theoretical powder diffractogram of CdHgSBr (a cell relaxed with PBE; Cu Ka).

Cell and atoms:
Cell: 9.2704 18.7046 5.5840 Å, 90.00 90.00 90.00°
Space group Cmmm (No. 65)
One atom of each set of equivalent atoms:
1 Cd 0.2148 0.1365 0.0000 (multiplicity 8)
2 Hg 0.0000 0.3551 0.5000 (multiplicity 4)
3 Hg 0.2311 0.0000 0.5000 (multiplicity 4)
4 S 0.2398 0.1286 0.5000 (multiplicity 8)
5 Br 0.0000 0.0000 0.0000 (multiplicity 2)
6 Br 0.0000 0.2576 0.0000 (multiplicity 4)
7 Br 0.0000 0.5000 0.0000 (multiplicity 2)

Top 8 peaks for 10 to 80 degrees two-theta, most intense first:
31.5°, rel. 1000, hkl 2 4 1; 32.1°, rel. 401, hkl 0 0 2; 23.4°, rel. 258, hkl 1 3 1; 38.5°, rel. 253, hkl 0 8 0; 26.8°, rel. 250, hkl 2 2 1; 38.9°, rel. 239, hkl 4 0 0; 56.8°, rel. 189, hkl 2 4 3; 65.9°, rel. 170, hkl 4 8 2


Structure and theoretical powder diffractogram of Tl2O3 (a cell relaxed with PBE; Cu Ka).

Cell and atoms:
Cell: 3.5549 3.5549 53.1172 Å, 90.00 90.00 120.00°
Space group R-3m (No. 166, hexagonal axes)
One atom of each set of equivalent atoms:
1 Tl 0.0000 0.0000 0.1334 (multiplicity 6)
2 Tl 0.0000 0.0000 0.2571 (multiplicity 6)
3 O 0.0000 0.0000 0.0608 (multiplicity 6)
4 O 0.0000 0.0000 0.1854 (multiplicity 6)
5 O 0.0000 0.0000 0.4382 (multiplicity 6)

Top 8 peaks for 10 to 80 degrees two-theta, most intense first:
32.0°, rel. 1000, hkl 0 1 8; 33.6°, rel. 767, hkl 1 0 10; 25.1°, rel. 646, hkl 0 0 15; 39.9°, rel. 602, hkl 1 0 16; 31.4°, rel. 599, hkl 1 0 7; 29.2°, rel. 538, hkl 0 1 2; 51.4°, rel. 526, hkl 1 1 0; 30.3°, rel. 493, hkl 0 0 18


Structure and theoretical powder diffractogram of NaLaSiO4 (a cell relaxed with PBE; Cu Ka).

Cell and atoms:
Cell: 7.1463 5.5042 9.6105 Å, 90.00 90.00 90.00°
Space group Pnma (No. 62)
One atom of each set of equivalent atoms:
1 Na 0.1687 0.2500 0.0799 (multiplicity 4)
2 La 0.0089 0.7500 0.3066 (multiplicity 4)
3 Si 0.2342 0.2500 0.4190 (multiplicity 4)
4 O 0.0028 0.2500 0.4237 (multiplicity 4)
5 O 0.1894 0.7500 0.0815 (multiplicity 4)
6 O 0.1950 0.5037 0.8391 (multiplicity 8)

Top 8 peaks for 10 to 80 degrees two-theta, most intense first:
31.2°, rel. 1000, hkl 2 1 1; 18.6°, rel. 767, hkl 0 1 1; 43.0°, rel. 374, hkl 1 1 4; 27.6°, rel. 340, hkl 1 1 2; 32.5°, rel. 340, hkl 0 2 0; 32.3°, rel. 273, hkl 0 1 3; 45.7°, rel. 251, hkl 2 2 2; 30.6°, rel. 250, hkl 1 0 3


Structure and theoretical powder diffractogram of MnCl2 (a cell relaxed with PBE; Cu Ka).

Cell and atoms:
Cell: 3.7167 3.7167 19.6031 Å, 90.00 90.00 120.00°
Space group R-3m (No. 166, hexagonal axes)
One atom of each set of equivalent atoms:
1 Mn 0.0000 0.0000 0.0000 (multiplicity 3)
2 Cl 0.0000 0.0000 0.2628 (multiplicity 6)

Top 8 peaks for 10 to 80 degrees two-theta, most intense first:
13.6°, rel. 1000, hkl 0 0 3; 33.3°, rel. 887, hkl 1 0 4; 49.0°, rel. 278, hkl 1 1 0; 46.6°, rel. 261, hkl 0 1 8; 42.8°, rel. 238, hkl 1 0 7; 28.1°, rel. 232, hkl 1 0 1; 51.1°, rel. 164, hkl 1 1 3; 60.6°, rel. 130, hkl 0 2 4


Structure and theoretical powder diffractogram of PrAl3Cu (a cell relaxed with PBE; Cu Ka).

Cell and atoms:
Cell: 4.2617 4.2617 10.7013 Å, 90.00 90.00 90.00°
Space group I4mm (No. 107)
One atom of each set of equivalent atoms:
1 Pr 0.0000 0.0000 0.0000 (multiplicity 2)
2 Al 0.0000 0.0000 0.4074 (multiplicity 2)
3 Al 0.0000 0.5000 0.2496 (multiplicity 4)
4 Cu 0.0000 0.0000 0.6332 (multiplicity 2)

Top 8 peaks for 10 to 80 degrees two-theta, most intense first:
32.7°, rel. 1000, hkl 1 0 3; 34.1°, rel. 903, hkl 1 1 2; 29.6°, rel. 533, hkl 1 1 0; 42.4°, rel. 501, hkl 2 0 0; 54.6°, rel. 457, hkl 2 1 3; 22.5°, rel. 406, hkl 1 0 1; 47.5°, rel. 384, hkl 1 0 5; 16.6°, rel. 307, hkl 0 0 2


What is the formula in the first record? SrIn4Pt


What is the formula in the first record? SrIn4Pt


Copy entry 4 word for word.
Structure and theoretical powder diffractogram of CdHgSBr (a cell relaxed with PBE; Cu Ka).

Cell and atoms:
Cell: 9.2704 18.7046 5.5840 Å, 90.00 90.00 90.00°
Space group Cmmm (No. 65)
One atom of each set of equivalent atoms:
1 Cd 0.2148 0.1365 0.0000 (multiplicity 8)
2 Hg 0.0000 0.3551 0.5000 (multiplicity 4)
3 Hg 0.2311 0.0000 0.5000 (multiplicity 4)
4 S 0.2398 0.1286 0.5000 (multiplicity 8)
5 Br 0.0000 0.0000 0.0000 (multiplicity 2)
6 Br 0.0000 0.2576 0.0000 (multiplicity 4)
7 Br 0.0000 0.5000 0.0000 (multiplicity 2)

Top 8 peaks for 10 to 80 degrees two-theta, most intense first:
31.5°, rel. 1000, hkl 2 4 1; 32.1°, rel. 401, hkl 0 0 2; 23.4°, rel. 258, hkl 1 3 1; 38.5°, rel. 253, hkl 0 8 0; 26.8°, rel. 250, hkl 2 2 1; 38.9°, rel. 239, hkl 4 0 0; 56.8°, rel. 189, hkl 2 4 3; 65.9°, rel. 170, hkl 4 8 2